The following is a theoretical powder diffraction line list of BaNa8In4. It was derived from a cell relaxed with GGA-PBE, using Cu Kα X-rays.
No peak broadening, texture or thermal motion is included.

Atomic structure:
Cell lengths 8.5924, 8.5924, 8.5924 Å; angles 98.40, 98.40, 135.07 degrees
Fractional coordinates of all 13 atoms:
Ba 0.0000 0.0000 0.0000
Na 0.0000 0.3428 0.3428
Na 0.0000 0.6572 0.6572
Na 0.2773 0.5000 0.7773
Na 0.3428 0.0000 0.3428
Na 0.5000 0.2773 0.7773
Na 0.5000 0.7227 0.2227
Na 0.6572 0.0000 0.6572
Na 0.7227 0.5000 0.2227
In 0.0000 0.0000 0.5000
In 0.0000 0.5000 0.0000
In 0.5000 0.0000 0.0000
In 0.5000 0.5000 0.5000

Peak list (8 most intense, 10 to 90 degrees two-theta, by angle)
| 2θ/deg | Rel. int. |
| --- | --- |
| 15.78 | 62 |
| 22.39 | 65 |
| 31.56 | 100 |
| 31.85 | 86 |
| 35.48 | 40 |
| 35.76 | 28 |
| 45.47 | 52 |
| 56.60 | 23 |